# 1
Structure and theoretical powder XRD pattern of Ac6Te3Pt2Rh (DFT lattice parameters and positions (PBE); Cu Kα X-rays).
Neutral-atom scattering factors, no anomalous dispersion.

Main lines, by angle (2θ from 10° to 90°):
- 11.00°, 8.045 Å, intensity 11
- 27.50°, 3.244 Å, intensity 100
- 34.95°, 2.567 Å, intensity 8
- 37.90°, 2.374 Å, intensity 36
- 40.62°, 2.221 Å, intensity 38
- 49.74°, 1.833 Å, intensity 13
- 56.76°, 1.622 Å, intensity 11
- 62.28°, 1.491 Å, intensity 12
- 66.10°, 1.414 Å, intensity 11
- 72.12°, 1.310 Å, intensity 11

Crystal structure
abc: 7.694 7.694 8.446
angles: 98.75 98.75 120.03
Fractional coordinates of all 12 atoms:
1 Ac 0.070 0.398 0.212
2 Ac 0.257 0.257 0.788
3 Ac 0.398 0.070 0.212
4 Ac 0.602 0.930 0.788
5 Ac 0.743 0.743 0.212
6 Ac 0.930 0.602 0.788
7 Te 0.168 0.832 0.500
8 Te 0.500 0.500 0.500
9 Te 0.832 0.168 0.500
10 Pt 0.333 0.667 0.000
11 Pt 0.667 0.333 0.000
12 Rh 0.000 0.000 0.000

---

# 2
Structure and theoretical powder XRD pattern of Ac2U3PtRh12 (DFT lattice parameters and positions (PBE); Cu Kα X-rays).
Neutral-atom scattering factors, no anomalous dispersion.

Main lines, by angle (2θ from 10° to 90°):
- 22.58°, 3.938 Å, intensity 16
- 27.54°, 3.238 Å, intensity 31
- 35.59°, 2.523 Å, intensity 18
- 37.78°, 2.381 Å, intensity 100
- 38.57°, 2.334 Å, intensity 13
- 40.46°, 2.229 Å, intensity 26
- 44.89°, 2.019 Å, intensity 17
- 56.87°, 1.619 Å, intensity 14
- 68.21°, 1.375 Å, intensity 18
- 80.69°, 1.191 Å, intensity 13

Crystal structure
abc: 7.053 7.053 7.053
angles: 84.95 84.95 84.95
Fractional coordinates of all 18 atoms:
1 Ac 0.136 0.136 0.136
2 Ac 0.864 0.864 0.864
3 U 0.000 0.500 0.500
4 U 0.500 0.000 0.500
5 U 0.500 0.500 0.000
6 Pt 0.500 0.500 0.500
7 Rh 0.113 0.113 0.598
8 Rh 0.113 0.598 0.113
9 Rh 0.187 0.678 0.678
10 Rh 0.322 0.322 0.813
11 Rh 0.322 0.813 0.322
12 Rh 0.402 0.887 0.887
13 Rh 0.598 0.113 0.113
14 Rh 0.678 0.187 0.678
15 Rh 0.678 0.678 0.187
16 Rh 0.813 0.322 0.322
17 Rh 0.887 0.402 0.887
18 Rh 0.887 0.887 0.402

---

# 3
Structure and theoretical powder XRD pattern of AcZn3PtRh (DFT lattice parameters and positions (PBE); Cu Kα X-rays).
Neutral-atom scattering factors, no anomalous dispersion.

Main lines, by angle (2θ from 10° to 90°):
- 21.98°, 4.044 Å, intensity 33
- 24.64°, 3.613 Å, intensity 29
- 26.94°, 3.310 Å, intensity 67
- 32.02°, 2.795 Å, intensity 35
- 32.20°, 2.780 Å, intensity 36
- 40.81°, 2.211 Å, intensity 100
- 40.96°, 2.203 Å, intensity 34
- 42.32°, 2.136 Å, intensity 33
- 42.46°, 2.129 Å, intensity 83
- 57.32°, 1.607 Å, intensity 44

Crystal structure
abc: 7.266 7.266 5.560
angles: 90.00 90.00 125.80
Fractional coordinates of all 12 atoms:
1 Ac 0.222 0.778 0.750
2 Ac 0.778 0.222 0.250
3 Zn 0.193 0.193 0.000
4 Zn 0.193 0.193 0.500
5 Zn 0.351 0.649 0.250
6 Zn 0.649 0.351 0.750
7 Zn 0.807 0.807 0.000
8 Zn 0.807 0.807 0.500
9 Pt 0.448 0.552 0.750
10 Pt 0.552 0.448 0.250
11 Rh 0.148 0.852 0.250
12 Rh 0.852 0.148 0.750

---

# 4
Structure and theoretical powder XRD pattern of Ac2ZnPt5Rh2 (DFT lattice parameters and positions (PBE); Cu Kα X-rays).
Neutral-atom scattering factors, no anomalous dispersion.

Main lines, by angle (2θ from 10° to 90°):
- 28.58°, 3.123 Å, intensity 19
- 30.03°, 2.976 Å, intensity 25
- 34.04°, 2.634 Å, intensity 20
- 36.49°, 2.462 Å, intensity 100
- 37.84°, 2.378 Å, intensity 49
- 38.98°, 2.311 Å, intensity 30
- 39.93°, 2.258 Å, intensity 33
- 43.14°, 2.097 Å, intensity 17
- 44.73°, 2.026 Å, intensity 30
- 59.99°, 1.542 Å, intensity 26

Crystal structure
abc: 9.803 9.803 4.052
angles: 90.00 90.00 90.00
Fractional coordinates of all 20 atoms:
1 Ac 0.174 0.326 0.000
2 Ac 0.326 0.826 0.000
3 Ac 0.674 0.174 0.000
4 Ac 0.826 0.674 0.000
5 Zn 0.000 0.000 0.000
6 Zn 0.500 0.500 0.000
7 Pt 0.000 0.500 0.500
8 Pt 0.058 0.805 0.500
9 Pt 0.195 0.058 0.500
10 Pt 0.305 0.558 0.500
11 Pt 0.442 0.305 0.500
12 Pt 0.500 0.000 0.500
13 Pt 0.558 0.695 0.500
14 Pt 0.695 0.442 0.500
15 Pt 0.805 0.942 0.500
16 Pt 0.942 0.195 0.500
17 Rh 0.128 0.628 0.000
18 Rh 0.372 0.128 0.000
19 Rh 0.628 0.872 0.000
20 Rh 0.872 0.372 0.000

---

# 5
Structure and theoretical powder XRD pattern of Ac12Ru4Pt (DFT lattice parameters and positions (PBE); Cu Kα X-rays).
Neutral-atom scattering factors, no anomalous dispersion.

Main lines, by angle (2θ from 10° to 90°):
- 15.95°, 5.555 Å, intensity 25
- 25.35°, 3.513 Å, intensity 100
- 27.81°, 3.208 Å, intensity 28
- 30.09°, 2.970 Å, intensity 79
- 32.23°, 2.778 Å, intensity 30
- 36.15°, 2.485 Å, intensity 24
- 39.74°, 2.268 Å, intensity 26
- 47.72°, 1.906 Å, intensity 52
- 50.62°, 1.803 Å, intensity 22
- 50.68°, 1.801 Å, intensity 22

Crystal structure
abc: 9.623 9.623 9.623
angles: 109.58 109.47 109.37
Fractional coordinates of all 17 atoms:
1 Ac 0.027 0.208 0.819
2 Ac 0.179 0.291 0.470
3 Ac 0.179 0.709 0.888
4 Ac 0.318 0.007 0.689
5 Ac 0.318 0.629 0.311
6 Ac 0.388 0.208 0.181
7 Ac 0.612 0.792 0.819
8 Ac 0.682 0.371 0.689
9 Ac 0.682 0.993 0.311
10 Ac 0.821 0.291 0.112
11 Ac 0.821 0.709 0.530
12 Ac 0.973 0.792 0.181
13 Ru 0.000 0.000 0.500
14 Ru 0.000 0.500 0.000
15 Ru 0.500 0.000 0.000
16 Ru 0.500 0.500 0.500
17 Pt 0.000 0.000 0.000

---

# 6
Structure and theoretical powder XRD pattern of Ac12Ru3Pt5 (DFT lattice parameters and positions (PBE); Cu Kα X-rays).
Neutral-atom scattering factors, no anomalous dispersion.

Main lines, by angle (2θ from 10° to 90°):
- 25.78°, 3.456 Å, intensity 16
- 28.52°, 3.130 Å, intensity 53
- 29.25°, 3.053 Å, intensity 100
- 31.71°, 2.821 Å, intensity 24
- 34.33°, 2.613 Å, intensity 52
- 34.65°, 2.589 Å, intensity 14
- 40.49°, 2.228 Å, intensity 17
- 41.29°, 2.186 Å, intensity 25
- 50.95°, 1.792 Å, intensity 22
- 52.99°, 1.728 Å, intensity 25

Crystal structure
abc: 13.031 13.031 4.373
angles: 90.00 90.00 120.00
Fractional coordinates of all 20 atoms:
1 Ac 0.000 0.174 0.000
2 Ac 0.000 0.472 0.000
3 Ac 0.174 0.000 0.000
4 Ac 0.195 0.745 0.500
5 Ac 0.255 0.451 0.500
6 Ac 0.451 0.255 0.500
7 Ac 0.472 0.000 0.000
8 Ac 0.528 0.528 0.000
9 Ac 0.549 0.805 0.500
10 Ac 0.745 0.195 0.500
11 Ac 0.805 0.549 0.500
12 Ac 0.826 0.826 0.000
13 Ru 0.000 0.329 0.500
14 Ru 0.329 0.000 0.500
15 Ru 0.671 0.671 0.500
16 Pt 0.000 0.713 0.000
17 Pt 0.287 0.287 0.000
18 Pt 0.333 0.667 0.000
19 Pt 0.667 0.333 0.000
20 Pt 0.713 0.000 0.000

---

# 7
Structure and theoretical powder XRD pattern of Ac6RuPt3 (DFT lattice parameters and positions (PBE); Cu Kα X-rays).
Neutral-atom scattering factors, no anomalous dispersion.

Main lines, by angle (2θ from 10° to 90°):
- 26.47°, 3.367 Å, intensity 61
- 26.60°, 3.351 Å, intensity 76
- 26.75°, 3.332 Å, intensity 96
- 27.94°, 3.193 Å, intensity 100
- 28.99°, 3.080 Å, intensity 47
- 29.87°, 2.992 Å, intensity 82
- 34.04°, 2.634 Å, intensity 46
- 35.60°, 2.522 Å, intensity 46
- 41.78°, 2.162 Å, intensity 43
- 48.44°, 1.879 Å, intensity 42

Crystal structure
abc: 7.318 8.059 13.396
angles: 90.00 122.72 90.00
Fractional coordinates of all 20 atoms:
1 Ac 0.086 0.059 0.245
2 Ac 0.086 0.441 0.745
3 Ac 0.253 0.689 0.081
4 Ac 0.253 0.811 0.581
5 Ac 0.394 0.178 0.077
6 Ac 0.394 0.322 0.577
7 Ac 0.606 0.678 0.423
8 Ac 0.606 0.822 0.923
9 Ac 0.747 0.189 0.419
10 Ac 0.747 0.311 0.919
11 Ac 0.914 0.559 0.255
12 Ac 0.914 0.941 0.755
13 Ru 0.000 0.000 0.000
14 Ru 0.000 0.500 0.500
15 Pt 0.303 0.106 0.752
16 Pt 0.303 0.394 0.252
17 Pt 0.500 0.000 0.500
18 Pt 0.500 0.500 0.000
19 Pt 0.697 0.606 0.748
20 Pt 0.697 0.894 0.248

---

# 8
Structure and theoretical powder XRD pattern of Ac7RuPt5 (DFT lattice parameters and positions (PBE); Cu Kα X-rays).
Neutral-atom scattering factors, no anomalous dispersion.

Main lines, by angle (2θ from 10° to 90°):
- 27.11°, 3.290 Å, intensity 82
- 27.95°, 3.192 Å, intensity 28
- 28.60°, 3.121 Å, intensity 87
- 29.65°, 3.013 Å, intensity 100
- 30.30°, 2.950 Å, intensity 42
- 38.22°, 2.355 Å, intensity 30
- 41.12°, 2.195 Å, intensity 31
- 41.28°, 2.187 Å, intensity 69
- 42.04°, 2.149 Å, intensity 47
- 50.73°, 1.800 Å, intensity 42

Crystal structure
abc: 4.298 25.818 7.584
angles: 90.00 106.41 90.00
Fractional coordinates of all 26 atoms:
1 Ac 0.067 0.250 0.131
2 Ac 0.136 0.538 0.271
3 Ac 0.136 0.962 0.271
4 Ac 0.311 0.178 0.622
5 Ac 0.311 0.322 0.622
6 Ac 0.411 0.610 0.822
7 Ac 0.411 0.890 0.822
8 Ac 0.589 0.110 0.178
9 Ac 0.589 0.390 0.178
10 Ac 0.689 0.678 0.378
11 Ac 0.689 0.822 0.378
12 Ac 0.864 0.038 0.729
13 Ac 0.864 0.462 0.729
14 Ac 0.933 0.750 0.869
15 Ru 0.292 0.750 0.583
16 Ru 0.708 0.250 0.417
17 Pt 0.046 0.648 0.092
18 Pt 0.046 0.852 0.092
19 Pt 0.224 0.072 0.449
20 Pt 0.224 0.428 0.449
21 Pt 0.500 0.000 0.000
22 Pt 0.500 0.500 0.000
23 Pt 0.776 0.572 0.551
24 Pt 0.776 0.928 0.551
25 Pt 0.954 0.148 0.908
26 Pt 0.954 0.352 0.908